Diffraction record for RbSbPS6. The powder X-ray diffraction pattern is calculated, not measured: it uses a structure optimized by DFT (PBE) and Cu Kα (λ = 1.5418 Å).

Structure:
a = 6.1015 Å, b = 6.1015 Å, c = 7.8779 Å
α = 90.00°, β = 90.00°, γ = 120.00°
Atoms (fractional coordinates):
1 Rb 0.0000 0.0000 0.0000
2 Sb 0.3333 0.6667 0.5000
3 P 0.6667 0.3333 0.5000
4 S 0.3879 0.0395 0.6762
5 S 0.3879 0.3483 0.3238
6 S 0.6517 0.0395 0.3238
7 S 0.6517 0.6121 0.6762
8 S 0.9605 0.3483 0.6762
9 S 0.9605 0.6121 0.3238

Principal peaks in the range 2θ = 5–70°, by angle:
hkl 0 0 1, 7.878 Å, I = 51; hkl 1 0 1, 4.388 Å, I = 100; hkl 2 -1 1, 2.845 Å, I = 20; hkl 2 0 1, 2.505 Å, I = 19; hkl 2 -1 2, 2.412 Å, I = 59; hkl 3 -1 1, 1.936 Å, I = 24